# 1
# Ce2AgSn
Simulated X-ray powder pattern, Cu Ka. Input: a cell relaxed with PBE.
Lines closer than 0.1° are merged.

Top 7 peaks for 2θ = 10–90°, in order of rising 2θ:
| Position (°2θ) | I (rel.) |
| --- | --- |
| 23.33 | 1 |
| 33.23 | 100 |
| 47.71 | 18 |
| 59.38 | 37 |
| 69.77 | 12 |
| 79.50 | 16 |
| 88.94 | 4 |

Structure:
Lattice parameters (Å, degrees): 5.391 5.391 5.391 60.00 60.00 60.00
Element x y z (fractional)
Ce 0.250 0.250 0.250
Ce 0.750 0.750 0.750
Ag 0.000 0.000 0.000
Sn 0.500 0.500 0.500

# 2
# GeS2
Simulated X-ray powder pattern, Cu Ka. Input: a cell relaxed with PBE.
Lines closer than 0.1° are merged.

Top 8 peaks for 2θ = 10–90°, in order of rising 2θ:
| Position (°2θ) | I (rel.) |
| --- | --- |
| 14.47 | 100 |
| 24.05 | 13 |
| 26.07 | 17 |
| 28.37 | 11 |
| 30.89 | 16 |
| 31.44 | 11 |
| 32.27 | 14 |
| 33.41 | 11 |

Structure:
Lattice parameters (Å, degrees): 6.951 6.951 11.996 99.93 99.93 113.90
Element x y z (fractional)
Ge 0.000 0.000 0.000
Ge 0.001 0.269 0.777
Ge 0.004 0.265 0.278
Ge 0.477 0.235 0.224
Ge 0.738 0.250 0.496
Ge 0.981 0.738 0.718
S 0.043 0.222 0.460
S 0.210 0.088 0.735
S 0.213 0.594 0.760
S 0.339 0.020 0.040
S 0.346 0.471 0.261
S 0.446 0.031 0.353
S 0.680 0.105 0.648
S 0.755 0.592 0.537
S 0.771 0.698 0.849
S 0.829 0.463 0.241
S 0.842 0.924 0.146
S 0.978 0.303 0.961